Diffraction record for Li9Mn2Co5O16. The X-ray diffraction stick pattern is calculated, not measured: it uses a crystal structure in the Materials Project, relaxed with PBE+U and Cu Kα (λ = 1.5418 Å).
Peak positions follow from Bragg's law for the DFT cell and can differ from measured ones.

Structure:
abc: 9.764 2.913 10.295
angles: 90.00 100.32 90.00
Positions (direct):
Li 0.000 0.000 0.000
Li 0.003 0.000 0.504
Li 0.237 0.500 0.112
Li 0.245 0.500 0.636
Li 0.247 0.000 0.872
Li 0.483 0.000 0.753
Li 0.493 0.000 0.245
Li 0.746 0.500 0.372
Li 0.750 0.500 0.873
Mn 0.487 0.500 0.992
Mn 0.748 0.000 0.623
Co 0.015 0.500 0.766
Co 0.246 0.000 0.376
Co 0.491 0.500 0.497
Co 0.745 0.000 0.125
Co 0.995 0.500 0.249
O 0.110 0.000 0.689
O 0.110 0.500 0.931
O 0.114 0.000 0.195
O 0.126 0.500 0.429
O 0.369 0.500 0.318
O 0.379 0.000 0.557
O 0.382 0.500 0.826
O 0.385 0.000 0.054
O 0.609 0.000 0.945
O 0.620 0.000 0.450
O 0.622 0.500 0.173
O 0.635 0.500 0.676
O 0.855 0.500 0.567
O 0.860 0.500 0.068
O 0.866 0.000 0.793
O 0.875 0.000 0.304

Largest 6 diffraction maxima, low angle first, 5° ≤ 2θ ≤ 70°:
| 2theta | I_rel |
| --- | --- |
| 18.28 | 100 |
| 36.06 | 26 |
| 43.28 | 27 |
| 43.62 | 55 |
| 62.87 | 22 |
| 63.40 | 14 |